Calculated X-ray diffraction stick pattern
Compound: Eu6WO12
Radiation: λ = 1.5418 Å (Cu Kα)
Structure: DFT lattice parameters and positions (GGA+U)
Kinematic intensities with the Lorentz-polarization factor, no thermal factor.

Crystal structure
Unit cell a=10.0331 b=10.0331 c=9.6818 alpha=90.00 beta=90.00 gamma=120.00
Space group R-3 (No. 148, hexagonal axes)
Asymmetric unit:
Eu 0.0469 0.2568 0.1509
W 0.0000 0.0000 0.5000
O 0.0331 0.2254 0.9017
O 0.0412 0.1819 0.3903

Main lines, by angle (2θ = 5–70°):
27.64 deg, I = 34, (0 0 3); 28.70 deg, I = 100, (2 1 1); 32.96 deg, I = 49, (3 -2 2); 46.61 deg, I = 30, (2 1 4); 47.98 deg, I = 27, (1 4 0); 55.06 deg, I = 14, (3 -2 5); 56.27 deg, I = 26, (5 -1 3); 56.88 deg, I = 15, (6 -4 1); 59.44 deg, I = 11, (4 2 2); 69.13 deg, I = 8, (6 -4 4)